No. 1
Diffraction record for BaAg3P4S12. The X-ray diffraction stick pattern is simulated, not measured: it uses a structure optimized by DFT (GGA-PBE) and Cu Kα.
No peak broadening, texture or thermal motion is included.

Cell and atoms:
Cell: 8.339 8.339 8.339 Å, 102.14 102.14 102.14°
Fractional positions:
Ba 0.000 0.000 0.000
Ag 0.000 0.543 0.457
Ag 0.457 0.000 0.543
Ag 0.543 0.457 0.000
P 0.053 0.500 0.947
P 0.500 0.500 0.500
P 0.500 0.947 0.053
P 0.947 0.053 0.500
S 0.054 0.651 0.792
S 0.099 0.901 0.500
S 0.208 0.349 0.946
S 0.347 0.653 0.500
S 0.349 0.946 0.208
S 0.500 0.099 0.901
S 0.500 0.347 0.653
S 0.651 0.792 0.054
S 0.653 0.500 0.347
S 0.792 0.054 0.651
S 0.901 0.500 0.099
S 0.946 0.208 0.349

Top 6 peaks for 10 to 90 degrees two-theta, sorted by position:
two_theta	d (Å)	Rel. int.
17.73	5.003	38
22.44	3.961	25
22.63	3.929	100
33.04	2.711	31
36.39	2.469	28
37.01	2.429	26

No. 2
Diffraction record for BaAgP2S8. The X-ray diffraction stick pattern is simulated, not measured: it uses a structure optimized by DFT (GGA-PBE) and Cu Kα.
No peak broadening, texture or thermal motion is included.

Cell and atoms:
Cell: 5.917 5.917 9.150 Å, 90.00 90.00 120.00°
Fractional positions:
Ba 0.000 0.000 0.000
Ag 0.000 0.000 0.500
P 0.333 0.667 0.747
P 0.667 0.333 0.253
S 0.004 0.663 0.318
S 0.333 0.667 0.969
S 0.337 0.341 0.318
S 0.341 0.004 0.682
S 0.659 0.996 0.318
S 0.663 0.659 0.682
S 0.667 0.333 0.031
S 0.996 0.337 0.682

Top 6 peaks for 10 to 90 degrees two-theta, sorted by position:
two_theta	d (Å)	Rel. int.
17.31	5.124	62
26.11	3.413	100
30.21	2.958	42
36.16	2.484	77
50.43	1.810	40
53.67	1.708	41

No. 3
Diffraction record for BaPa3Ag4S12. The X-ray diffraction stick pattern is simulated, not measured: it uses a structure optimized by DFT (GGA-PBE) and Cu Kα.
No peak broadening, texture or thermal motion is included.

Cell and atoms:
Cell: 8.785 8.785 8.785 Å, 106.07 106.07 106.07°
Fractional positions:
Ba 0.000 0.000 0.000
Pa 0.000 0.565 0.435
Pa 0.435 0.000 0.565
Pa 0.565 0.435 0.000
Ag 0.089 0.500 0.911
Ag 0.500 0.500 0.500
Ag 0.500 0.911 0.089
Ag 0.911 0.089 0.500
S 0.015 0.665 0.748
S 0.095 0.905 0.500
S 0.252 0.335 0.985
S 0.329 0.671 0.500
S 0.335 0.985 0.252
S 0.500 0.095 0.905
S 0.500 0.329 0.671
S 0.665 0.748 0.015
S 0.671 0.500 0.329
S 0.748 0.015 0.665
S 0.905 0.500 0.095
S 0.985 0.252 0.335

Top 6 peaks for 10 to 90 degrees two-theta, sorted by position:
two_theta	d (Å)	Rel. int.
21.22	4.187	56
22.80	3.900	100
27.88	3.200	40
38.40	2.344	29
41.15	2.193	27
46.65	1.947	35

No. 4
Diffraction record for BaPa4Ag3Te12. The X-ray diffraction stick pattern is simulated, not measured: it uses a structure optimized by DFT (GGA-PBE) and Cu Kα.
No peak broadening, texture or thermal motion is included.

Cell and atoms:
Cell: 9.722 9.722 9.722 Å, 109.47 109.47 109.47°
Fractional positions:
Ba 0.000 0.000 0.000
Pa 0.000 0.000 0.500
Pa 0.000 0.500 0.000
Pa 0.500 0.000 0.000
Pa 0.500 0.500 0.500
Ag 0.000 0.500 0.500
Ag 0.500 0.000 0.500
Ag 0.500 0.500 0.000
Te 0.135 0.829 0.306
Te 0.171 0.306 0.478
Te 0.171 0.694 0.865
Te 0.306 0.135 0.829
Te 0.306 0.478 0.171
Te 0.478 0.171 0.306
Te 0.522 0.829 0.694
Te 0.694 0.522 0.829
Te 0.694 0.865 0.171
Te 0.829 0.306 0.135
Te 0.829 0.694 0.522
Te 0.865 0.171 0.694

Top 6 peaks for 10 to 90 degrees two-theta, sorted by position:
two_theta	d (Å)	Rel. int.
22.40	3.969	64
25.08	3.550	54
29.78	3.000	40
31.89	2.807	48
39.32	2.292	100
71.28	1.323	44